# 1
Simulated PXRD pattern
Compound: TbDy4Y10
Radiation: λ = 1.5418 Å (Cu Kα)
Structure: DFT lattice parameters and positions (GGA-PBE)
Intensities are scaled so that the largest is 100.

Largest 6 diffraction maxima, low angle first, 5° ≤ 2θ ≤ 70°:
- hkl 2 1 1, 19.98 deg, I = 50
- hkl 4 2 0, 32.91 deg, I = 100
- hkl 5 0 1, 38.80 deg, I = 28
- hkl 2 6 0, 47.24 deg, I = 18
- hkl 6 3 1, 51.77 deg, I = 12
- hkl 7 1 2, 58.77 deg, I = 37

Structural model:
```
data_TbDy4Y10
_chemical_formula_sum 'Tb2 Dy8 Y20'
_symmetry_space_group_name_H-M 'I 4/m'
_symmetry_Int_Tables_number 87
_symmetry_space_group_name_Hall '-I 4'
_cell_length_a 12.1727
_cell_length_b 12.1727
_cell_length_c 7.6935
_cell_angle_alpha 90.00
_cell_angle_beta 90.00
_cell_angle_gamma 90.00
loop_
_atom_site_label
_atom_site_type_symbol
_atom_site_fract_x
_atom_site_fract_y
_atom_site_fract_z
Tb1 Tb 0.0000 0.0000 0.0000
Dy1 Dy 0.1004 0.2997 0.5000
Y1 Y 0.0000 0.5000 0.2500
Y2 Y 0.0997 0.7996 0.2501
```

---

# 2
Simulated PXRD pattern
Compound: TbDy5Y5
Radiation: λ = 1.5418 Å (Cu Kα)
Structure: DFT lattice parameters and positions (GGA-PBE)
Intensities are scaled so that the largest is 100.

Largest 6 diffraction maxima, low angle first, 5° ≤ 2θ ≤ 70°:
- hkl 2 2 1, 31.91 deg, I = 100
- hkl 0 2 -1, 32.07 deg, I = 53
- hkl 0 2 2, 32.30 deg, I = 61
- hkl 2 0 2, 32.52 deg, I = 51
- hkl 0 0 3, 33.18 deg, I = 35
- hkl 2 -1 0, 34.91 deg, I = 19

Structural model:
```
data_TbDy5Y5
_chemical_formula_sum 'Tb1 Dy5 Y5'
_symmetry_space_group_name_H-M 'P -1'
_symmetry_Int_Tables_number 2
_symmetry_space_group_name_Hall '-P 1'
_cell_length_a 6.8707
_cell_length_b 6.8798
_cell_length_c 8.5082
_cell_angle_alpha 75.29
_cell_angle_beta 75.78
_cell_angle_gamma 70.58
loop_
_atom_site_label
_atom_site_type_symbol
_atom_site_fract_x
_atom_site_fract_y
_atom_site_fract_z
Tb1 Tb 0.0000 0.0000 0.0000
Dy1 Dy 0.1426 0.1488 0.3618
Dy2 Dy 0.2341 0.6519 0.2763
Dy3 Dy 0.5000 0.0000 0.0000
Y1 Y 0.0000 0.5000 0.0000
Y2 Y 0.2991 0.3184 0.6402
Y3 Y 0.3542 0.7768 0.7177
```

---

# 3
Simulated PXRD pattern
Compound: TbDy4Y4
Radiation: λ = 1.5418 Å (Cu Kα)
Structure: DFT lattice parameters and positions (GGA-PBE)
Intensities are scaled so that the largest is 100.

Largest 6 diffraction maxima, low angle first, 5° ≤ 2θ ≤ 70°:
- hkl 0 1 0, 16.14 deg, I = 3
- hkl 1 2 2, 30.79 deg, I = 100
- hkl 2 1 1, 35.70 deg, I = 50
- hkl 2 3 0, 51.38 deg, I = 36
- hkl 3 3 3, 61.11 deg, I = 42
- hkl 2 4 4, 64.14 deg, I = 12

Structural model:
```
data_TbDy4Y4
_chemical_formula_sum 'Tb1 Dy4 Y4'
_symmetry_space_group_name_H-M 'P -1'
_symmetry_Int_Tables_number 2
_symmetry_space_group_name_Hall '-P 1'
_cell_length_a 5.0317
_cell_length_b 6.1598
_cell_length_c 10.6624
_cell_angle_alpha 73.23
_cell_angle_beta 76.35
_cell_angle_gamma 65.96
loop_
_atom_site_label
_atom_site_type_symbol
_atom_site_fract_x
_atom_site_fract_y
_atom_site_fract_z
Tb1 Tb 0.0000 0.0000 0.0000
Dy1 Dy 0.3331 0.1107 0.2230
Dy2 Dy 0.3328 0.7792 0.5551
Y1 Y 0.0006 0.3325 0.6663
Y2 Y 0.3333 0.4446 0.8887
```

---

# 4
Simulated PXRD pattern
Compound: Tb3Dy7Y2
Radiation: λ = 1.5418 Å (Cu Kα)
Structure: DFT lattice parameters and positions (GGA-PBE)
Intensities are scaled so that the largest is 100.

Largest 6 diffraction maxima, low angle first, 5° ≤ 2θ ≤ 70°:
- hkl 1 1 1, 29.84 deg, I = 72
- hkl 2 0 -3, 30.89 deg, I = 84
- hkl 0 0 6, 31.00 deg, I = 97
- hkl 1 1 2, 31.45 deg, I = 100
- hkl 2 0 3, 33.89 deg, I = 68
- hkl 1 1 -4, 34.97 deg, I = 81

Structural model:
```
data_Tb3Dy7Y2
_chemical_formula_sum 'Tb3 Dy7 Y2'
_symmetry_space_group_name_H-M 'P 1 2/m 1'
_symmetry_Int_Tables_number 10
_symmetry_space_group_name_Hall '-P 2y'
_cell_length_a 6.3266
_cell_length_b 3.5121
_cell_length_c 17.4086
_cell_angle_alpha 90.00
_cell_angle_beta 96.14
_cell_angle_gamma 90.00
loop_
_atom_site_label
_atom_site_type_symbol
_atom_site_fract_x
_atom_site_fract_y
_atom_site_fract_z
Tb1 Tb 0.0000 0.0000 0.0000
Tb2 Tb 0.0499 0.5000 0.6581
Dy1 Dy 0.2264 0.5000 0.1651
Dy2 Dy 0.2447 0.0000 0.5013
Dy3 Dy 0.2745 0.0000 0.8327
Dy4 Dy 0.5000 0.5000 0.0000
Y1 Y 0.4413 0.0000 0.3272
```

---

# 5
Simulated PXRD pattern
Compound: Tb2DyY2
Radiation: λ = 1.5418 Å (Cu Kα)
Structure: DFT lattice parameters and positions (GGA-PBE)
Intensities are scaled so that the largest is 100.

Largest 6 diffraction maxima, low angle first, 5° ≤ 2θ ≤ 70°:
- hkl 3 1 -1, 29.70 deg, I = 23
- hkl 1 1 -2, 30.43 deg, I = 31
- hkl 0 4 0, 30.78 deg, I = 39
- hkl 2 2 1, 32.62 deg, I = 100
- hkl 1 3 -2, 37.65 deg, I = 20
- hkl 2 6 1, 55.91 deg, I = 21

Structural model:
```
data_Tb2DyY2
_chemical_formula_sum 'Tb8 Dy4 Y8'
_symmetry_space_group_name_H-M 'P 1 21/c 1'
_symmetry_Int_Tables_number 14
_symmetry_space_group_name_Hall '-P 2ybc'
_cell_length_a 9.5616
_cell_length_b 11.6177
_cell_length_c 6.0720
_cell_angle_alpha 90.00
_cell_angle_beta 108.43
_cell_angle_gamma 90.00
loop_
_atom_site_label
_atom_site_type_symbol
_atom_site_fract_x
_atom_site_fract_y
_atom_site_fract_z
Tb1 Tb 0.0004 0.1210 0.1650
Tb2 Tb 0.3996 0.6205 0.5348
Dy1 Dy 0.2000 0.1214 0.7659
Y1 Y 0.1990 0.6224 0.9341
Y2 Y 0.3998 0.1230 0.3658
```

---

# 6
Simulated PXRD pattern
Compound: Tb5Dy3Y
Radiation: λ = 1.5418 Å (Cu Kα)
Structure: DFT lattice parameters and positions (GGA-PBE)
Intensities are scaled so that the largest is 100.

Largest 6 diffraction maxima, low angle first, 5° ≤ 2θ ≤ 70°:
- hkl 0 1 3, 29.40 deg, I = 55
- hkl 2 3 1, 30.70 deg, I = 100
- hkl 0 6 0, 30.87 deg, I = 59
- hkl 2 2 2, 33.08 deg, I = 64
- hkl 0 5 3, 39.04 deg, I = 31
- hkl 2 3 5, 58.21 deg, I = 32

Structural model:
```
data_Tb5Dy3Y
_chemical_formula_sum 'Tb20 Dy12 Y4'
_symmetry_space_group_name_H-M 'I m m a'
_symmetry_Int_Tables_number 74
_symmetry_space_group_name_Hall '-I 2b 2'
_cell_length_a 7.2346
_cell_length_b 17.3805
_cell_length_c 9.2553
_cell_angle_alpha 90.00
_cell_angle_beta 90.00
_cell_angle_gamma 90.00
loop_
_atom_site_label
_atom_site_type_symbol
_atom_site_fract_x
_atom_site_fract_y
_atom_site_fract_z
Tb1 Tb 0.0000 0.2500 0.0465
Tb2 Tb 0.2468 0.0872 0.0702
Dy1 Dy 0.0000 0.0656 0.7480
Dy2 Dy 0.2500 0.2500 0.7500
Y1 Y 0.0000 0.2500 0.4075
```

---

# 7
Simulated PXRD pattern
Compound: Tb5DyY4
Radiation: λ = 1.5418 Å (Cu Kα)
Structure: DFT lattice parameters and positions (GGA-PBE)
Intensities are scaled so that the largest is 100.

Largest 6 diffraction maxima, low angle first, 5° ≤ 2θ ≤ 70°:
- hkl 1 0 2, 29.44 deg, I = 36
- hkl 0 2 -3, 31.37 deg, I = 54
- hkl 0 2 2, 31.91 deg, I = 100
- hkl 0 0 5, 32.45 deg, I = 93
- hkl 1 2 -1, 42.72 deg, I = 14
- hkl -1 2 5, 48.65 deg, I = 21

Structural model:
```
data_Tb5DyY4
_chemical_formula_sum 'Tb5 Dy1 Y4'
_symmetry_space_group_name_H-M 'P -1'
_symmetry_Int_Tables_number 2
_symmetry_space_group_name_Hall '-P 1'
_cell_length_a 3.5653
_cell_length_b 6.8175
_cell_length_c 13.9423
_cell_angle_alpha 97.60
_cell_angle_beta 90.08
_cell_angle_gamma 105.10
loop_
_atom_site_label
_atom_site_type_symbol
_atom_site_fract_x
_atom_site_fract_y
_atom_site_fract_z
Tb1 Tb 0.0000 0.0000 0.0000
Tb2 Tb 0.0459 0.0825 0.3850
Tb3 Tb 0.3090 0.6246 0.4156
Dy1 Dy 0.0000 0.5000 0.0000
Y1 Y 0.3518 0.6729 0.7892
Y2 Y 0.4241 0.7973 0.1927
```

---

# 8
Simulated PXRD pattern
Compound: TbDy2Y6
Radiation: λ = 1.5418 Å (Cu Kα)
Structure: DFT lattice parameters and positions (GGA-PBE)
Intensities are scaled so that the largest is 100.

Largest 6 diffraction maxima, low angle first, 5° ≤ 2θ ≤ 70°:
- hkl 0 4 0, 30.53 deg, I = 30
- hkl 1 1 2, 30.67 deg, I = 64
- hkl 3 1 -3, 30.81 deg, I = 72
- hkl 4 2 -1, 31.51 deg, I = 100
- hkl 0 4 1, 32.91 deg, I = 39
- hkl 1 3 2, 37.74 deg, I = 29

Structural model:
```
data_TbDy2Y6
_chemical_formula_sum 'Tb4 Dy8 Y24'
_symmetry_space_group_name_H-M 'C 1 2/c 1'
_symmetry_Int_Tables_number 15
_symmetry_space_group_name_Hall '-C 2yc'
_cell_length_a 13.4038
_cell_length_b 11.7108
_cell_length_c 9.0508
_cell_angle_alpha 90.00
_cell_angle_beta 125.34
_cell_angle_gamma 90.00
loop_
_atom_site_label
_atom_site_type_symbol
_atom_site_fract_x
_atom_site_fract_y
_atom_site_fract_z
Tb1 Tb 0.0000 0.0829 0.2500
Dy1 Dy 0.1074 0.1718 0.6946
Y1 Y 0.0823 0.3895 0.9867
Y2 Y 0.1524 0.3489 0.4058
Y3 Y 0.2073 0.0922 0.1336
```